Starting from DFT lattice parameters and positions (PBE), the PXRD pattern of CaZr2P was computed for Cu Kα, 1.54184 Å.
Peak positions follow from Bragg's law for the DFT cell and can differ from measured ones.

Structure:
```
data_CaZr2P
_cell_length_a 3.481
_cell_length_b 3.481
_cell_length_c 7.842
_cell_angle_alpha 90.00
_cell_angle_beta 90.00
_cell_angle_gamma 90.00
_symmetry_space_group_name_H-M 'P 1'
_symmetry_Int_Tables_number 1
loop_
_symmetry_equiv_pos_as_xyz
'x,y,z'
loop_
_atom_site_label
_atom_site_fract_x
_atom_site_fract_y
_atom_site_fract_z
_atom_site_occupancy
Ca1 0.000 0.000 0.000 1
Zr1 0.000 0.000 0.407 1
Zr2 0.500 0.500 0.651 1
P1 0.500 0.500 0.269 1
```

Most intense lines, 2θ = 10–90°, by intensity:
34.45 deg, rel. 100, hkl 1 0 2; 11.28 deg, rel. 67, hkl 0 0 1; 36.51 deg, rel. 61, hkl 1 1 0; 64.37 deg, rel. 39, hkl 2 1 2; 28.05 deg, rel. 36, hkl 1 0 1; 43.29 deg, rel. 26, hkl 1 0 3; 52.58 deg, rel. 20, hkl 2 0 0; 50.96 deg, rel. 18, hkl 1 1 3; 34.30 deg, rel. 15, hkl 0 0 3; 38.33 deg, rel. 14, hkl 1 1 1